Simulated XRD peak list
Compound: Tm2HfNi9
Radiation: Cu Kα X-rays
Structure: DFT lattice parameters and positions (PBE)

Main lines, by angle (10° ≤ 2θ ≤ 80°):
two_theta	I (rel.)	(hkl)
35.03	93	1 0 5
36.98	61	1 1 0
43.35	41	2 0 1
43.47	100	1 1 4
46.32	23	2 0 3
65.39	30	2 1 5
68.78	17	2 0 9
69.98	17	1 1 10
71.14	22	3 0 4
78.75	23	2 2 0

Structure:
```
data_Tm2HfNi9
_chemical_formula_sum 'Tm4 Hf2 Ni18'
_cell_length_a 4.8611
_cell_length_b 4.8611
_cell_length_c 16.1361
_cell_angle_alpha 90.00
_cell_angle_beta 90.00
_cell_angle_gamma 120.00
_symmetry_space_group_name_H-M 'P 63/m m c'
_symmetry_Int_Tables_number 194
_symmetry_space_group_name_Hall '-P 6c 2c'
loop_
_atom_site_label
_atom_site_fract_x
_atom_site_fract_y
_atom_site_fract_z
_atom_site_occupancy
Tm1 0.3333 0.6667 0.0435 1
Hf1 0.3333 0.6667 0.2500 1
Ni1 0.0000 0.0000 0.0000 1
Ni2 0.0000 0.0000 0.2500 1
Ni3 0.1671 0.3342 0.6274 1
Ni4 0.3333 0.6667 0.7500 1
```